Starting from a structure optimized by DFT (GGA-PBE), the PXRD pattern of Mg8Cu2Rh was computed for Cu Kα.

Structure:
Cell: 7.829 7.829 6.562 Å, 111.51 111.51 33.50°
Positions (direct):
1 Mg 0.025 0.025 0.281
2 Mg 0.181 0.181 0.757
3 Mg 0.334 0.334 0.567
4 Mg 0.397 0.397 0.058
5 Mg 0.603 0.603 0.942
6 Mg 0.666 0.666 0.433
7 Mg 0.819 0.819 0.243
8 Mg 0.975 0.975 0.719
9 Cu 0.185 0.185 0.176
10 Cu 0.815 0.815 0.824
11 Rh 0.500 0.500 0.500

The 6 most intense peaks (2θ from 15° to 90°), sorted by position:
d_spacing	2theta	Rel. int.
3.716	23.94	561
3.673	24.23	378
3.227	27.64	373
2.492	36.04	409
2.348	38.34	868
2.255	39.99	1000

Starting from a structure optimized by DFT (GGA-PBE), the PXRD pattern of Mg5CuRh4 was computed for Cu Kα.

Structure:
Cell: 3.168 3.168 15.282 Å, 90.00 90.00 90.00°
Positions (direct):
1 Mg 0.000 0.000 0.000
2 Mg 0.000 0.000 0.200
3 Mg 0.000 0.000 0.396
4 Mg 0.000 0.000 0.604
5 Mg 0.000 0.000 0.800
6 Cu 0.500 0.500 0.500
7 Rh 0.500 0.500 0.101
8 Rh 0.500 0.500 0.304
9 Rh 0.500 0.500 0.696
10 Rh 0.500 0.500 0.899

The 6 most intense peaks (2θ from 15° to 90°), sorted by position:
d_spacing	2theta	Rel. int.
3.168	28.17	483
3.056	29.22	218
2.240	40.26	533
2.200	41.04	1000
1.807	50.52	186
1.285	73.71	334

Starting from a structure optimized by DFT (GGA-PBE), the PXRD pattern of MgZnCuRh was computed for Cu Kα.

Structure:
Cell: 3.582 3.970 4.000 Å, 90.00 90.00 90.00°
Positions (direct):
1 Mg 0.000 0.000 0.000
2 Zn 0.000 0.500 0.500
3 Cu 0.500 0.500 0.000
4 Rh 0.500 0.000 0.500

The 6 most intense peaks (2θ from 15° to 90°), sorted by position:
d_spacing	2theta	Rel. int.
2.215	40.74	1000
2.000	45.35	182
1.985	45.71	178
1.791	50.99	127
1.192	80.61	124
1.185	81.13	121

Starting from a structure optimized by DFT (GGA-PBE), the PXRD pattern of MgSc4CuS8 was computed for Cu Kα.

Structure:
Cell: 7.485 7.485 7.485 Å, 60.05 60.05 60.05°
Positions (direct):
1 Mg 0.000 0.000 0.000
2 Sc 0.000 0.000 0.487
3 Sc 0.000 0.487 0.000
4 Sc 0.487 0.000 0.000
5 Sc 0.618 0.618 0.618
6 Cu 0.375 0.375 0.375
7 S 0.220 0.756 0.756
8 S 0.244 0.244 0.244
9 S 0.246 0.246 0.756
10 S 0.246 0.756 0.246
11 S 0.753 0.753 0.753
12 S 0.756 0.220 0.756
13 S 0.756 0.246 0.246
14 S 0.756 0.756 0.220

The 6 most intense peaks (2θ from 15° to 90°), sorted by position:
d_spacing	2theta	Rel. int.
3.744	23.77	386
3.193	27.94	919
2.648	33.86	517
2.038	44.45	413
1.872	48.64	1000
1.379	68.00	163

Starting from a structure optimized by DFT (GGA-PBE), the PXRD pattern of Mg2ScCu was computed for Cu Kα.

Structure:
Cell: 3.176 4.746 5.385 Å, 90.00 101.22 90.00°
Positions (direct):
1 Mg 0.156 0.000 0.268
2 Mg 0.844 0.000 0.732
3 Sc 0.500 0.500 0.000
4 Cu 0.000 0.500 0.500

The 6 most intense peaks (2θ from 15° to 90°), sorted by position:
d_spacing	2theta	Rel. int.
4.746	18.70	436
2.503	35.88	1000
2.481	36.21	530
2.373	37.91	498
2.308	39.03	900
1.715	53.43	322

Starting from a structure optimized by DFT (GGA-PBE), the PXRD pattern of Mg2ScCu3 was computed for Cu Kα.

Structure:
Cell: 3.186 3.186 9.639 Å, 90.00 90.00 90.00°
Positions (direct):
1 Mg 0.000 0.000 0.165
2 Mg 0.000 0.000 0.835
3 Sc 0.000 0.000 0.500
4 Cu 0.500 0.500 0.000
5 Cu 0.500 0.500 0.329
6 Cu 0.500 0.500 0.671

The 6 most intense peaks (2θ from 15° to 90°), sorted by position:
d_spacing	2theta	Rel. int.
3.186	28.00	175
2.262	39.85	1000
2.253	40.02	495
1.593	57.88	155
1.308	72.23	149
1.303	72.58	297

Starting from a structure optimized by DFT (GGA-PBE), the PXRD pattern of MgSc2Cu6 was computed for Cu Kα.

Structure:
Cell: 5.353 5.353 5.617 Å, 90.00 90.00 120.00°
Positions (direct):
1 Mg 0.000 0.000 0.000
2 Sc 0.333 0.667 0.848
3 Sc 0.667 0.333 0.152
4 Cu 0.181 0.361 0.340
5 Cu 0.181 0.819 0.340
6 Cu 0.361 0.181 0.660
7 Cu 0.639 0.819 0.340
8 Cu 0.819 0.181 0.660
9 Cu 0.819 0.639 0.660

The 6 most intense peaks (2θ from 15° to 90°), sorted by position:
d_spacing	2theta	Rel. int.
5.617	15.78	292
2.416	37.21	222
2.402	37.44	434
2.318	38.85	223
2.143	42.17	1000
1.788	51.09	301